Pu2Al3Si4: simulated powder XRD pattern (Cu Kα), based on the PBE geometry in Alexandria.
Intensities are scaled so that the largest is 1000.

```
18
Lattice="2.847 -7.324 0.000 2.847 7.324 0.000 0.000 0.000 7.686" Properties=species:S:1:pos:R:3 pbc="T T T"
Pu 2.847 5.681 7.085
Pu 2.847 1.643 3.242
Pu 2.847 -1.643 4.444
Pu 2.847 -5.681 0.601
Al 0.000 0.000 3.843
Al 1.424 3.207 5.765
Al 1.424 -3.207 1.922
Al 2.847 0.000 0.000
Al 4.271 3.207 5.765
Al 4.271 -3.207 1.922
Si 2.847 4.651 4.213
Si 1.424 0.726 5.765
Si 1.424 -0.726 1.922
Si 2.847 2.673 0.370
Si 2.847 -2.673 7.316
Si 4.271 0.726 5.765
Si 4.271 -0.726 1.922
Si 2.847 -4.651 3.473
```

Peak list (10 most intense, 2θ = 5–70°, in order of rising 2θ)
2θ 16.72, I 340; 2θ 20.33, I 1000; 2θ 24.30, I 319; 2θ 28.68, I 316; 2θ 33.59, I 506; 2θ 35.80, I 295; 2θ 36.42, I 724; 2θ 37.18, I 492; 2θ 40.12, I 309; 2θ 49.45, I 289


Pu2ThAl2Si2: simulated powder XRD pattern (Cu Kα), based on the PBE geometry in Alexandria.
Intensities are scaled so that the largest is 1000.

```
7
Lattice="2.041 1.178 9.111 -2.041 1.178 9.111 0.000 -2.357 9.111" Properties=species:S:1:pos:R:3 pbc="T T T"
Pu 0.000 0.000 4.134
Pu 0.000 0.000 23.198
Th 0.000 0.000 0.000
Al 0.000 0.000 11.354
Al 0.000 0.000 15.978
Si 0.000 0.000 7.080
Si 0.000 0.000 20.252
```

Peak list (10 most intense, 2θ = 5–70°, in order of rising 2θ)
2θ 9.71, I 507; 2θ 19.49, I 616; 2θ 25.41, I 787; 2θ 30.11, I 197; 2θ 34.22, I 1000; 2θ 36.58, I 214; 2θ 44.39, I 597; 2θ 48.90, I 369; 2θ 50.51, I 234; 2θ 57.21, I 236


Sm3PuAl8: simulated powder XRD pattern (Cu Kα), based on the PBE geometry in Alexandria.
Intensities are scaled so that the largest is 1000.

```
12
Lattice="2.806 1.620 9.182 -2.806 1.620 9.182 0.000 -3.240 9.182" Properties=species:S:1:pos:R:3 pbc="T T T"
Sm 0.000 0.000 0.000
Sm 0.000 0.000 3.490
Sm 0.000 0.000 13.896
Pu 0.000 0.000 17.265
Al -1.407 -0.813 10.954
Al 0.000 -1.615 6.364
Al -1.399 0.807 6.364
Al 0.000 0.000 8.650
Al 1.399 0.807 6.364
Al 1.407 -0.813 10.954
Al 0.000 1.625 10.954
Al 0.000 0.000 22.428
```

Peak list (10 most intense, 2θ = 5–70°, in order of rising 2θ)
2θ 19.36, I 675; 2θ 31.88, I 1000; 2θ 37.57, I 975; 2θ 50.07, I 178; 2θ 56.79, I 293; 2θ 56.84, I 99; 2θ 60.57, I 203; 2θ 60.62, I 120; 2θ 66.57, I 103; 2θ 66.68, I 105


PuTh2Al: simulated powder XRD pattern (Cu Kα), based on the PBE geometry in Alexandria.
Intensities are scaled so that the largest is 1000.

```
4
Lattice="3.926 0.000 0.000 0.000 3.926 0.000 0.000 0.000 6.985" Properties=species:S:1:pos:R:3 pbc="T T T"
Pu 0.000 0.000 0.000
Th 1.963 1.963 1.832
Th 1.963 1.963 5.153
Al 0.000 0.000 3.493
```

Peak list (10 most intense, 2θ = 5–70°, in order of rising 2θ)
2θ 12.67, I 150; 2θ 22.65, I 98; 2θ 26.03, I 236; 2θ 32.25, I 599; 2θ 34.37, I 1000; 2θ 46.25, I 226; 2θ 52.39, I 74; 2θ 58.87, I 441; 2θ 62.87, I 173; 2θ 67.47, I 75


Tm5PuAl3: simulated powder XRD pattern (Cu Kα), based on the PBE geometry in Alexandria.
Intensities are scaled so that the largest is 1000.

```
18
Lattice="8.952 0.000 0.000 -4.476 7.753 0.000 0.000 0.000 6.446" Properties=species:S:1:pos:R:3 pbc="T T T"
Tm -1.443 2.500 1.611
Tm -3.033 5.253 4.834
Tm 2.887 0.000 1.611
Tm 1.443 2.500 4.834
Tm 0.000 5.168 0.000
Tm 0.000 5.168 3.223
Tm 4.476 2.584 0.000
Tm 4.476 2.584 3.223
Tm 6.065 0.000 4.834
Tm 3.033 5.253 1.611
Pu 0.000 0.000 0.000
Pu 0.000 0.000 3.223
Al -1.539 2.666 4.834
Al -2.937 5.087 1.611
Al 3.078 0.000 4.834
Al 1.539 2.666 1.611
Al 5.874 0.000 1.611
Al 2.937 5.087 4.834
```

Peak list (10 most intense, 2θ = 5–70°, in order of rising 2θ)
2θ 19.84, I 197; 2θ 24.21, I 429; 2θ 34.29, I 1000; 2θ 34.71, I 858; 2θ 42.77, I 95; 2θ 49.59, I 354; 2θ 56.21, I 84; 2θ 61.95, I 362; 2θ 62.22, I 156; 2θ 68.64, I 241


Pu2AlZn3: simulated powder XRD pattern (Cu Kα), based on the PBE geometry in Alexandria.
Intensities are scaled so that the largest is 1000.

```
12
Lattice="9.444 0.000 0.000 0.000 5.439 0.000 -3.151 0.000 4.468" Properties=species:S:1:pos:R:3 pbc="T T T"
Pu 0.002 0.000 1.689
Pu 1.569 2.720 2.779
Pu 4.724 2.720 1.689
Pu 6.291 0.000 2.779
Al -1.576 2.720 2.234
Al 3.147 0.000 2.234
Zn 0.000 2.720 0.000
Zn 2.361 1.360 0.000
Zn 2.361 4.079 0.000
Zn 4.722 0.000 0.000
Zn 7.083 1.360 0.000
Zn 7.083 4.079 0.000
```

Peak list (10 most intense, 2θ = 5–70°, in order of rising 2θ)
2θ 19.91, I 247; 2θ 19.97, I 341; 2θ 32.78, I 789; 2θ 32.89, I 533; 2θ 38.68, I 1000; 2θ 38.78, I 587; 2θ 58.63, I 243; 2θ 58.74, I 174; 2θ 62.51, I 277; 2θ 68.72, I 180


Pu2Al2Zn15: simulated powder XRD pattern (Cu Kα), based on the PBE geometry in Alexandria.
Intensities are scaled so that the largest is 1000.

```
19
Lattice="4.522 2.611 4.407 -4.522 2.611 4.407 0.000 -5.221 4.407" Properties=species:S:1:pos:R:3 pbc="T T T"
Pu 0.000 0.000 2.192
Pu 0.000 0.000 11.028
Al 0.000 0.000 5.282
Al 0.000 0.000 7.938
Zn -2.261 -1.305 4.407
Zn 0.000 -2.694 4.215
Zn -2.333 1.347 4.215
Zn -1.355 -2.347 6.610
Zn -2.710 0.000 6.610
Zn -2.333 -1.347 9.005
Zn -2.261 1.305 8.813
Zn 1.355 -2.347 6.610
Zn 0.000 2.611 4.407
Zn -1.355 2.347 6.610
Zn 2.333 1.347 4.215
Zn 2.710 0.000 6.610
Zn 1.355 2.347 6.610
Zn 2.333 -1.347 9.005
Zn 0.000 2.694 9.005
```

Peak list (10 most intense, 2θ = 5–70°, in order of rising 2θ)
2θ 13.14, I 169; 2θ 28.28, I 483; 2θ 34.35, I 330; 2θ 35.54, I 158; 2θ 39.87, I 450; 2θ 40.15, I 1000; 2θ 40.95, I 391; 2θ 57.88, I 214; 2θ 58.49, I 241; 2θ 65.45, I 194


PuAl3Zn: simulated powder XRD pattern (Cu Kα), based on the PBE geometry in Alexandria.
Intensities are scaled so that the largest is 1000.

```
10
Lattice="4.166 0.000 0.000 0.000 4.166 0.000 0.000 0.000 11.068" Properties=species:S:1:pos:R:3 pbc="T T T"
Pu 0.000 0.000 0.000
Pu 2.083 2.083 5.534
Al 0.000 0.000 6.659
Al 0.000 2.083 2.762
Al 0.000 2.083 8.295
Al 2.083 0.000 2.762
Al 2.083 0.000 8.295
Al 2.083 2.083 1.125
Zn 0.000 0.000 4.244
Zn 2.083 2.083 9.778
```

Peak list (10 most intense, 2θ = 5–70°, in order of rising 2θ)
2θ 16.02, I 556; 2θ 22.81, I 661; 2θ 30.34, I 499; 2θ 32.41, I 1000; 2θ 34.49, I 871; 2θ 43.44, I 366; 2θ 46.45, I 428; 2θ 49.61, I 183; 2θ 55.22, I 501; 2θ 65.48, I 309


Pu2Al15Zn2: simulated powder XRD pattern (Cu Kα), based on the PBE geometry in Alexandria.
Intensities are scaled so that the largest is 1000.

```
19
Lattice="4.647 2.683 4.538 -4.647 2.683 4.538 0.000 -5.365 4.538" Properties=species:S:1:pos:R:3 pbc="T T T"
Pu 0.000 0.000 2.240
Pu 0.000 0.000 11.373
Al -2.323 -1.341 4.538
Al 0.000 -2.743 4.347
Al -2.376 1.372 4.347
Al -1.414 -2.449 6.807
Al -2.828 0.000 6.807
Al -2.376 -1.372 9.266
Al -2.323 1.341 9.076
Al 1.414 -2.449 6.807
Al 0.000 2.683 4.538
Al -1.414 2.449 6.807
Al 2.376 1.372 4.347
Al 2.828 0.000 6.807
Al 1.414 2.449 6.807
Al 2.376 -1.372 9.266
Al 0.000 2.743 9.266
Zn 0.000 0.000 5.488
Zn 0.000 0.000 8.125
```

Peak list (10 most intense, 2θ = 5–70°, in order of rising 2θ)
2θ 19.10, I 1000; 2θ 27.47, I 802; 2θ 28.47, I 213; 2θ 33.40, I 602; 2θ 34.52, I 231; 2θ 38.76, I 536; 2θ 39.00, I 747; 2θ 39.74, I 369; 2θ 56.15, I 332; 2θ 56.71, I 231


RbAl2Rh2: simulated powder XRD pattern (Cu Kα), based on the PBE geometry in Alexandria.
Intensities are scaled so that the largest is 1000.

```
10
Lattice="4.447 0.000 0.000 0.000 4.447 0.000 0.000 0.000 12.454" Properties=species:S:1:pos:R:3 pbc="T T T"
Rb 0.000 0.000 0.000
Rb 2.223 2.223 6.227
Al 0.000 0.000 4.041
Al 0.000 0.000 8.414
Al 2.223 2.223 2.186
Al 2.223 2.223 10.268
Rh 0.000 2.223 3.114
Rh 0.000 2.223 9.341
Rh 2.223 0.000 3.114
Rh 2.223 0.000 9.341
```

Peak list (10 most intense, 2θ = 5–70°, in order of rising 2θ)
2θ 14.22, I 648; 2θ 21.21, I 149; 2θ 28.67, I 373; 2θ 29.43, I 346; 2θ 31.88, I 1000; 2θ 40.57, I 447; 2θ 43.20, I 149; 2θ 50.43, I 302; 2θ 52.85, I 401; 2θ 68.39, I 212


RbAlRu2: simulated powder XRD pattern (Cu Kα), based on the PBE geometry in Alexandria.
Intensities are scaled so that the largest is 1000.

```
16
Lattice="4.830 0.000 0.000 0.000 4.830 0.000 0.000 0.000 17.852" Properties=species:S:1:pos:R:3 pbc="T T T"
Rb 0.000 0.000 0.000
Rb 0.000 2.415 4.463
Rb 2.415 0.000 13.389
Rb 2.415 2.415 8.926
Al 0.000 0.000 8.926
Al 0.000 2.415 13.389
Al 2.415 0.000 4.463
Al 2.415 2.415 0.000
Ru 0.057 3.622 11.158
Ru 1.207 0.057 6.695
Ru 1.207 2.358 15.621
Ru 2.358 3.622 2.232
Ru 2.471 1.207 2.232
Ru 3.622 2.471 15.621
Ru 3.622 4.773 6.695
Ru 4.773 1.207 11.158
```

Peak list (10 most intense, 2θ = 5–70°, in order of rising 2θ)
2θ 19.04, I 316; 2θ 23.73, I 1000; 2θ 27.97, I 416; 2θ 31.15, I 497; 2θ 38.62, I 551; 2θ 40.42, I 293; 2θ 42.14, I 432; 2θ 48.55, I 283; 2θ 55.77, I 187; 2θ 57.81, I 396


RbAlS2: simulated powder XRD pattern (Cu Kα), based on the PBE geometry in Alexandria.
Intensities are scaled so that the largest is 1000.

```
16
Lattice="12.503 0.000 0.000 0.000 7.228 0.000 -0.010 0.000 5.844" Properties=species:S:1:pos:R:3 pbc="T T T"
Rb 2.250 0.000 1.465
Rb 3.992 3.614 4.379
Rb 8.501 3.614 1.465
Rb 10.244 0.000 4.379
Al 0.000 2.858 0.000
Al -0.005 2.858 2.922
Al 6.252 6.472 0.000
Al 6.247 6.472 2.922
S 1.177 1.578 4.386
S 1.298 3.993 1.463
S 4.944 0.379 4.381
S 5.065 5.192 1.458
S 7.428 5.192 4.386
S 7.550 0.379 1.463
S 11.195 3.993 4.381
S 11.317 1.578 1.458
```

Peak list (10 most intense, 2θ = 5–70°, in order of rising 2θ)
2θ 14.15, I 305; 2θ 20.80, I 976; 2θ 24.65, I 718; 2θ 29.07, I 371; 2θ 30.60, I 251; 2θ 32.46, I 1000; 2θ 41.18, I 300; 2θ 42.33, I 253; 2θ 49.61, I 307; 2θ 55.24, I 264


Rb3AlS3: simulated powder XRD pattern (Cu Kα), based on the PBE geometry in Alexandria.
Intensities are scaled so that the largest is 1000.

```
14
Lattice="4.944 -8.537 0.000 4.944 8.537 0.000 0.000 0.000 6.677" Properties=species:S:1:pos:R:3 pbc="T T T"
Rb 4.944 5.457 5.008
Rb 2.688 1.542 5.008
Rb 2.688 -1.542 1.669
Rb 7.200 1.542 5.008
Rb 7.200 -1.542 1.669
Rb 4.944 -5.457 1.669
Al 4.944 2.851 1.669
Al 4.944 -2.851 5.008
S 4.944 5.037 1.669
S 3.053 1.754 1.669
S 3.053 -1.754 5.008
S 6.835 1.754 1.669
S 6.835 -1.754 5.008
S 4.944 -5.037 5.008
```

Peak list (10 most intense, 2θ = 5–70°, in order of rising 2θ)
2θ 20.78, I 869; 2θ 24.73, I 1000; 2θ 26.70, I 696; 2θ 27.60, I 478; 2θ 34.07, I 471; 2θ 36.40, I 544; 2θ 38.78, I 363; 2θ 44.51, I 240; 2θ 45.71, I 556; 2θ 45.97, I 193